[1]
CuCl2: theoretical X-ray powder pattern (Cu Ka), based on a crystal structure in the Materials Project, relaxed with GGA-PBE.
Peak positions follow from Bragg's law for the DFT cell and can differ from measured ones.

Most intense lines, 5 to 70 degrees two-theta, by angle:
12.9 deg, rel. 100; 20.7 deg, rel. 30; 26.0 deg, rel. 19; 27.8 deg, rel. 14; 42.2 deg, rel. 18; 48.3 deg, rel. 12

Crystal structure
Unit cell a=4.510 b=4.510 c=13.720 alpha=90.00 beta=90.00 gamma=90.00
Positions (direct):
1 Cu 0.000 0.000 0.000
2 Cu 0.500 0.500 0.500
3 Cl 0.000 0.500 0.000
4 Cl 0.000 0.500 0.500
5 Cl 0.500 0.000 0.000
6 Cl 0.500 0.000 0.500


[2]
CePRu2C: theoretical X-ray powder pattern (Cu Ka), based on a crystal structure in the Materials Project, relaxed with GGA-PBE.
Peak positions follow from Bragg's law for the DFT cell and can differ from measured ones.

Most intense lines, 5 to 70 degrees two-theta, by angle:
29.9 deg, rel. 36; 33.5 deg, rel. 81; 34.8 deg, rel. 42; 35.2 deg, rel. 100; 35.9 deg, rel. 34; 46.9 deg, rel. 32

Crystal structure
Unit cell a=5.865 b=5.865 c=7.109 alpha=90.00 beta=90.00 gamma=141.46
Positions (direct):
1 Ce 0.047 0.953 0.750
2 Ce 0.953 0.047 0.250
3 P 0.229 0.771 0.250
4 P 0.771 0.229 0.750
5 Ru 0.333 0.667 0.555
6 Ru 0.333 0.667 0.945
7 Ru 0.667 0.333 0.055
8 Ru 0.667 0.333 0.445
9 C 0.500 0.500 0.000
10 C 0.500 0.500 0.500


[3]
RbNdTe2: theoretical X-ray powder pattern (Cu Ka), based on a crystal structure in the Materials Project, relaxed with GGA-PBE.
Peak positions follow from Bragg's law for the DFT cell and can differ from measured ones.

Most intense lines, 5 to 70 degrees two-theta, by angle:
10.3 deg, rel. 21; 26.1 deg, rel. 100; 35.7 deg, rel. 35; 38.7 deg, rel. 38; 47.3 deg, rel. 20; 62.7 deg, rel. 17

Crystal structure
Unit cell a=4.654 b=4.654 c=25.744 alpha=90.00 beta=90.00 gamma=120.00
Positions (direct):
1 Rb 0.000 0.000 0.000
2 Rb 0.333 0.667 0.667
3 Rb 0.667 0.333 0.333
4 Nd 0.000 0.000 0.500
5 Nd 0.333 0.667 0.167
6 Nd 0.667 0.333 0.833
7 Te 0.000 0.000 0.235
8 Te 0.000 0.000 0.765
9 Te 0.333 0.667 0.432
10 Te 0.333 0.667 0.902
11 Te 0.667 0.333 0.098
12 Te 0.667 0.333 0.568


[4]
Tm5Ir2: theoretical X-ray powder pattern (Cu Ka), based on a crystal structure in the Materials Project, relaxed with GGA-PBE.
Peak positions follow from Bragg's law for the DFT cell and can differ from measured ones.

Most intense lines, 5 to 70 degrees two-theta, by angle:
19.9 deg, rel. 61; 30.5 deg, rel. 57; 32.1 deg, rel. 77; 32.4 deg, rel. 70; 36.5 deg, rel. 100; 37.7 deg, rel. 63

Crystal structure
Unit cell a=8.350 b=8.350 c=7.166 alpha=96.42 beta=96.42 gamma=45.40
Positions (direct):
1 Tm 0.073 0.927 0.750
2 Tm 0.154 0.289 0.319
3 Tm 0.288 0.530 0.081
4 Tm 0.289 0.154 0.819
5 Tm 0.470 0.712 0.419
6 Tm 0.530 0.288 0.581
7 Tm 0.711 0.846 0.181
8 Tm 0.712 0.470 0.919
9 Tm 0.846 0.711 0.681
10 Tm 0.927 0.073 0.250
11 Ir 0.110 0.672 0.427
12 Ir 0.328 0.890 0.073
13 Ir 0.672 0.110 0.927
14 Ir 0.890 0.328 0.573


[5]
SrO10: theoretical X-ray powder pattern (Cu Ka), based on a crystal structure in the Materials Project, relaxed with GGA-PBE.
Peak positions follow from Bragg's law for the DFT cell and can differ from measured ones.

Most intense lines, 5 to 70 degrees two-theta, by angle:
15.3 deg, rel. 47; 29.5 deg, rel. 100; 36.0 deg, rel. 34; 36.9 deg, rel. 30; 40.1 deg, rel. 28; 49.7 deg, rel. 31

Crystal structure
Unit cell a=5.802 b=5.802 c=8.984 alpha=90.00 beta=90.00 gamma=90.00
Positions (direct):
1 Sr 0.000 0.000 0.250
2 Sr 0.000 0.000 0.750
3 O 0.105 0.349 0.071
4 O 0.105 0.349 0.929
5 O 0.105 0.651 0.429
6 O 0.105 0.651 0.571
7 O 0.349 0.105 0.429
8 O 0.349 0.105 0.571
9 O 0.349 0.895 0.071
10 O 0.349 0.895 0.929
11 O 0.500 0.500 0.181
12 O 0.500 0.500 0.319
13 O 0.500 0.500 0.681
14 O 0.500 0.500 0.819
15 O 0.651 0.105 0.071
16 O 0.651 0.105 0.929
17 O 0.651 0.895 0.429
18 O 0.651 0.895 0.571
19 O 0.895 0.349 0.429
20 O 0.895 0.349 0.571
21 O 0.895 0.651 0.071
22 O 0.895 0.651 0.929


[6]
Rb3TbCl6: theoretical X-ray powder pattern (Cu Ka), based on a crystal structure in the Materials Project, relaxed with GGA-PBE.
Peak positions follow from Bragg's law for the DFT cell and can differ from measured ones.

Most intense lines, 5 to 70 degrees two-theta, by angle:
21.8 deg, rel. 100; 31.0 deg, rel. 67; 38.2 deg, rel. 46; 44.4 deg, rel. 46; 50.0 deg, rel. 24; 60.0 deg, rel. 27

Crystal structure
Unit cell a=8.154 b=8.154 c=8.154 alpha=60.00 beta=60.00 gamma=60.00
Positions (direct):
1 Rb 0.000 0.000 0.000
2 Rb 0.250 0.250 0.250
3 Rb 0.750 0.750 0.750
4 Tb 0.500 0.500 0.500
5 Cl 0.270 0.270 0.730
6 Cl 0.270 0.730 0.270
7 Cl 0.270 0.730 0.730
8 Cl 0.730 0.270 0.270
9 Cl 0.730 0.270 0.730
10 Cl 0.730 0.730 0.270


[7]
SrPt2: theoretical X-ray powder pattern (Cu Ka), based on a crystal structure in the Materials Project, relaxed with GGA-PBE.
Peak positions follow from Bragg's law for the DFT cell and can differ from measured ones.

Most intense lines, 5 to 70 degrees two-theta, by angle:
19.5 deg, rel. 45; 37.8 deg, rel. 100; 39.6 deg, rel. 67; 46.0 deg, rel. 20; 61.0 deg, rel. 33; 67.1 deg, rel. 33

Crystal structure
Unit cell a=5.581 b=5.581 c=5.581 alpha=60.00 beta=60.00 gamma=60.00
Positions (direct):
1 Sr 0.125 0.125 0.125
2 Sr 0.875 0.875 0.875
3 Pt 0.000 0.500 0.500
4 Pt 0.500 0.000 0.500
5 Pt 0.500 0.500 0.000
6 Pt 0.500 0.500 0.500


[8]
NpH3: theoretical X-ray powder pattern (Cu Ka), based on a crystal structure in the Materials Project, relaxed with GGA-PBE.
Peak positions follow from Bragg's law for the DFT cell and can differ from measured ones.

Most intense lines, 5 to 70 degrees two-theta, by angle:
26.9 deg, rel. 32; 27.7 deg, rel. 22; 30.9 deg, rel. 100; 49.1 deg, rel. 20; 50.1 deg, rel. 28; 56.8 deg, rel. 25

Crystal structure
Unit cell a=3.713 b=3.713 c=6.629 alpha=90.00 beta=90.00 gamma=120.00
Positions (direct):
1 Np 0.333 0.667 0.250
2 Np 0.667 0.333 0.750
3 H 0.000 0.000 0.250
4 H 0.000 0.000 0.750
5 H 0.333 0.667 0.595
6 H 0.333 0.667 0.905
7 H 0.667 0.333 0.095
8 H 0.667 0.333 0.405